1.
Calculated X-ray diffraction stick pattern of Ce3Pm4YTe8 for λ = 1.5418 Å (Cu Kα), from DFT lattice parameters and positions (PBE).
Intensities are scaled so that the largest is 1000.

Main lines, in order of rising 2θ (2θ from 10° to 90°):
Position (°2θ)  I/Imax  (hkl)
28.28  1000  4 0 0
40.36  382  2 2 2
40.49  379  0 4 0
49.90  69  0 0 4
50.09  136  4 4 0
58.50  128  8 0 0
66.13  176  6 2 2
66.32  174  10 2 -2
73.51  86  8 4 0
73.64  85  10 2 -6

Structure:
```
data_Ce3Pm4YTe8
_symmetry_space_group_name_H-M 'C 1 2/m 1'
_symmetry_Int_Tables_number 12
_symmetry_space_group_name_Hall '-C 2y'
_cell_length_a 15.4190
_cell_length_b 8.9199
_cell_length_c 8.9301
_cell_angle_alpha 90.00
_cell_angle_beta 125.06
_cell_angle_gamma 90.00
loop_
_atom_site_label
_atom_site_type_symbol
_atom_site_fract_x
_atom_site_fract_y
_atom_site_fract_z
Ce1 Ce 0.0000 0.0000 0.0000
Ce2 Ce 0.2500 0.2500 0.0000
Pm1 Pm 0.0000 0.0000 0.5000
Pm2 Pm 0.0000 0.5000 0.5000
Pm3 Pm 0.2500 0.2500 0.5000
Y1 Y 0.0000 0.5000 0.0000
Te1 Te 0.0005 0.2533 0.2481
Te2 Te 0.2471 0.5000 0.2481
Te3 Te 0.2494 0.5000 0.7482
```

=====

2.
Calculated X-ray diffraction stick pattern of AlCdInS4 for λ = 1.5418 Å (Cu Kα), from DFT lattice parameters and positions (PBE).
Intensities are scaled so that the largest is 1000.

Main lines, in order of rising 2θ (2θ from 10° to 90°):
Position (°2θ)  I/Imax  (hkl)
23.51  332  1 1 2
23.83  245  2 0 0
27.60  1000  1 0 3
27.88  174  2 1 1
33.63  115  2 2 0
41.15  190  0 2 4
43.80  163  1 0 5
44.30  274  3 2 1
48.09  463  2 2 4
48.78  119  4 0 0

Structure:
```
data_AlCdInS4
_symmetry_space_group_name_H-M 'I m m a'
_symmetry_Int_Tables_number 74
_symmetry_space_group_name_Hall '-I 2b 2'
_cell_length_a 7.4671
_cell_length_b 7.6082
_cell_length_c 10.7479
_cell_angle_alpha 90.00
_cell_angle_beta 90.00
_cell_angle_gamma 90.00
loop_
_atom_site_label
_atom_site_type_symbol
_atom_site_fract_x
_atom_site_fract_y
_atom_site_fract_z
Al1 Al 0.2500 0.2500 0.2500
Cd1 Cd 0.0000 0.2500 0.6273
In1 In 0.0000 0.0000 0.0000
S1 S 0.0000 0.0345 0.2460
S2 S 0.2372 0.2500 0.0228
```